Theoretical X-ray diffraction stick pattern
Compound: BaTiBi3
Radiation: Cu Kα, 1.54184 Å
Structure: DFT lattice parameters and positions (GGA-PBE)

Atomic structure:
```
data_BaTiBi3
_chemical_formula_sum 'Ba4 Ti4 Bi12'
_cell_length_a 15.219
_cell_length_b 6.632
_cell_length_c 6.548
_cell_angle_alpha 90.00
_cell_angle_beta 90.00
_cell_angle_gamma 90.00
_space_group_name_H-M_alt 'P b c m'
_space_group_IT_number 57
_space_group_name_Hall '-P 2c 2b'
loop_
_atom_site_label
_atom_site_type_symbol
_atom_site_fract_x
_atom_site_fract_y
_atom_site_fract_z
Ba1 Ba 0.194 0.013 0.250
Ti1 Ti 0.418 0.750 0.000
Bi1 Bi 0.004 0.750 0.000
Bi2 Bi 0.302 0.514 0.250
Bi3 Bi 0.436 0.108 0.250
```

The 10 most intense peaks (10 to 90 degrees two-theta), sorted by position:
| 2θ/deg | d/Å | I/Imax | hkl |
| --- | --- | --- | --- |
| 26.0 | 3.432 | 243 | 3 1 1 |
| 27.9 | 3.201 | 362 | 1 0 2 |
| 29.4 | 3.040 | 558 | 2 2 0 |
| 29.7 | 3.007 | 273 | 2 0 2 |
| 30.3 | 2.947 | 1000 | 4 1 1 |
| 38.6 | 2.330 | 438 | 0 2 2 |
| 50.1 | 1.821 | 289 | 4 1 3 |
| 55.7 | 1.650 | 195 | 8 2 0 |
| 55.9 | 1.645 | 182 | 8 0 2 |
| 64.1 | 1.452 | 191 | 2 4 2 |